The following is a computed powder diffraction line list of Pa2Ga4Au5. It was derived from DFT lattice parameters and positions (PBE), using Cu Kα (λ = 1.5418 Å).

Crystal structure
```
data_Pa2Ga4Au5
_chemical_formula_sum 'Pa2 Ga4 Au5'
_cell_length_a 6.7370
_cell_length_b 6.7370
_cell_length_c 6.7370
_cell_angle_alpha 127.05
_cell_angle_beta 105.54
_cell_angle_gamma 97.44
_symmetry_space_group_name_H-M 'P 1'
_symmetry_Int_Tables_number 1
_symmetry_space_group_name_Hall 'P 1'
loop_
_atom_site_label
_atom_site_type_symbol
_atom_site_fract_x
_atom_site_fract_y
_atom_site_fract_z
Pa1 Pa 0.1629 0.0000 0.1629
Pa2 Pa 0.8371 0.0000 0.8371
Ga1 Ga 0.0748 0.3294 0.7454
Ga2 Ga 0.4160 0.6706 0.7454
Ga3 Ga 0.5840 0.3294 0.2546
Ga4 Ga 0.9252 0.6706 0.2546
Au1 Au 0.0000 0.5000 0.5000
Au2 Au 0.3359 0.0727 0.7368
Au3 Au 0.3359 0.5991 0.2632
Au4 Au 0.6641 0.4009 0.7368
Au5 Au 0.6641 0.9273 0.2632
```

The 10 most intense peaks (10 to 90 degrees two-theta), in order of falling intensity:
d/Å, 2theta, I/Imax
2.785, 32.14, 100.0
2.686, 33.35, 86.5
2.418, 37.19, 54.1
2.226, 40.53, 42.4
2.489, 36.09, 36.8
1.503, 61.74, 32.2
1.666, 55.12, 30.7
2.163, 41.76, 26.7
2.599, 34.52, 25.3
2.476, 36.29, 23.3

=====

The following is a computed powder diffraction line list of Dy3TmNi8. It was derived from DFT lattice parameters and positions (PBE), using Cu Kα (λ = 1.5418 Å).

Crystal structure
```
data_Dy3TmNi8
_chemical_formula_sum 'Dy3 Tm1 Ni8'
_cell_length_a 8.7670
_cell_length_b 8.7670
_cell_length_c 8.7670
_cell_angle_alpha 33.47
_cell_angle_beta 33.47
_cell_angle_gamma 33.47
_symmetry_space_group_name_H-M 'P 1'
_symmetry_Int_Tables_number 1
_symmetry_space_group_name_Hall 'P 1'
loop_
_atom_site_label
_atom_site_type_symbol
_atom_site_fract_x
_atom_site_fract_y
_atom_site_fract_z
Dy1 Dy 0.0000 0.0000 0.0000
Dy2 Dy 0.1251 0.1251 0.1251
Dy3 Dy 0.5006 0.5006 0.5006
Tm1 Tm 0.6252 0.6252 0.6252
Ni1 Ni 0.0613 0.5628 0.5628
Ni2 Ni 0.0631 0.0631 0.5632
Ni3 Ni 0.0631 0.5632 0.0631
Ni4 Ni 0.3126 0.3126 0.3126
Ni5 Ni 0.5628 0.0613 0.5628
Ni6 Ni 0.5632 0.0631 0.0631
Ni7 Ni 0.5628 0.5628 0.0613
Ni8 Ni 0.8127 0.8127 0.8127
```

The 10 most intense peaks (10 to 90 degrees two-theta), in order of falling intensity:
d/Å, 2theta, I/Imax
2.155, 41.92, 100.0
2.527, 35.53, 64.4
1.375, 68.21, 22.8
1.458, 63.84, 17.7
4.126, 21.54, 13.4
2.062, 43.91, 11.4
1.265, 75.12, 11.2
1.262, 75.29, 11.1
1.377, 68.10, 7.6
1.461, 63.69, 6.0

=====

The following is a computed powder diffraction line list of Cs3Ge2I9. It was derived from DFT lattice parameters and positions (PBE), using Cu Kα (λ = 1.5418 Å).

Crystal structure
```
data_Cs3Ge2I9
_chemical_formula_sum 'Cs3 Ge2 I9'
_cell_length_a 8.3722
_cell_length_b 8.3722
_cell_length_c 10.2446
_cell_angle_alpha 90.00
_cell_angle_beta 90.00
_cell_angle_gamma 120.00
_symmetry_space_group_name_H-M 'P 1'
_symmetry_Int_Tables_number 1
_symmetry_space_group_name_Hall 'P 1'
loop_
_atom_site_label
_atom_site_type_symbol
_atom_site_fract_x
_atom_site_fract_y
_atom_site_fract_z
Cs1 Cs 0.0000 0.0000 0.0000
Cs2 Cs 0.3333 0.6667 0.3313
Cs3 Cs 0.6667 0.3333 0.6687
Ge1 Ge 0.3333 0.6667 0.8180
Ge2 Ge 0.6667 0.3333 0.1820
I1 I 0.0000 0.5000 0.0000
I2 I 0.1733 0.3466 0.6728
I3 I 0.1733 0.8267 0.6728
I4 I 0.3466 0.1733 0.3272
I5 I 0.5000 0.0000 0.0000
I6 I 0.5000 0.5000 0.0000
I7 I 0.6534 0.8267 0.6728
I8 I 0.8267 0.1733 0.3272
I9 I 0.8267 0.6534 0.3272
```

The 10 most intense peaks (10 to 90 degrees two-theta), in order of falling intensity:
d/Å, 2theta, I/Imax
3.417, 26.08, 100.0
2.959, 30.20, 75.7
2.092, 43.24, 55.6
1.784, 51.19, 45.2
1.323, 71.26, 23.9
1.708, 53.65, 19.1
1.358, 69.19, 18.1
1.208, 79.31, 18.0
1.139, 85.20, 14.0
1.480, 62.80, 8.9

=====

The following is a computed powder diffraction line list of GaRe2Si2. It was derived from DFT lattice parameters and positions (PBE), using Cu Kα (λ = 1.5418 Å).

Crystal structure
```
data_GaRe2Si2
_chemical_formula_sum 'Ga2 Re4 Si4'
_cell_length_a 3.3881
_cell_length_b 3.3881
_cell_length_c 12.8764
_cell_angle_alpha 90.00
_cell_angle_beta 90.00
_cell_angle_gamma 90.00
_symmetry_space_group_name_H-M 'P 1'
_symmetry_Int_Tables_number 1
_symmetry_space_group_name_Hall 'P 1'
loop_
_atom_site_label
_atom_site_type_symbol
_atom_site_fract_x
_atom_site_fract_y
_atom_site_fract_z
Ga1 Ga 0.0000 0.0000 0.0000
Ga2 Ga 0.5000 0.5000 0.5000
Re1 Re 0.0000 0.0000 0.3897
Re2 Re 0.0000 0.0000 0.6103
Re3 Re 0.5000 0.5000 0.1103
Re4 Re 0.5000 0.5000 0.8897
Si1 Si 0.0000 0.5000 0.2500
Si2 Si 0.0000 0.5000 0.7500
Si3 Si 0.5000 0.0000 0.2500
Si4 Si 0.5000 0.0000 0.7500
```

The 10 most intense peaks (10 to 90 degrees two-theta), in order of falling intensity:
d/Å, 2theta, I/Imax
2.050, 44.17, 100.0
3.277, 27.22, 89.0
2.659, 33.70, 75.6
2.396, 37.54, 65.3
1.922, 47.30, 49.2
1.306, 72.36, 46.5
1.694, 54.14, 38.2
2.245, 40.16, 28.6
1.429, 65.31, 22.3
3.219, 27.71, 21.4